(1)
Theoretical X-ray diffraction stick pattern
Compound: LaRh3
Radiation: Cu Kα, 1.54184 Å
Structure: a cell relaxed with GGA-PBE
No peak broadening, texture or thermal motion is included.

Atomic structure:
a = 4.151 Å, b = 4.151 Å, c = 4.151 Å
α = 90.00°, β = 90.00°, γ = 90.00°
Sites, in units of the cell vectors:
La  0.000  0.000  0.000
Rh  0.000  0.500  0.500
Rh  0.500  0.000  0.500
Rh  0.500  0.500  0.000

Main lines, low angle first (2θ = 10–90°):
d (Å)  I/Imax
4.151  1
2.935  1
2.396  100
2.075  49
1.856  1
1.467  32
1.251  37
1.198  11


(2)
Theoretical X-ray diffraction stick pattern
Compound: DyGa2Co3
Radiation: Cu Kα, 1.54184 Å
Structure: a cell relaxed with GGA-PBE
No peak broadening, texture or thermal motion is included.

Atomic structure:
a = 8.958 Å, b = 8.958 Å, c = 3.858 Å
α = 90.00°, β = 90.00°, γ = 120.08°
Sites, in units of the cell vectors:
Dy  0.000  0.000  0.000
Dy  0.333  0.667  0.500
Dy  0.667  0.333  0.500
Ga  0.000  0.311  0.500
Ga  0.000  0.689  0.500
Ga  0.311  0.000  0.500
Ga  0.311  0.311  0.500
Ga  0.689  0.000  0.500
Ga  0.689  0.689  0.500
Co  0.000  0.500  0.000
Co  0.183  0.366  0.000
Co  0.183  0.817  0.000
Co  0.366  0.183  0.000
Co  0.500  0.000  0.000
Co  0.500  0.500  0.000
Co  0.634  0.817  0.000
Co  0.817  0.183  0.000
Co  0.817  0.634  0.000

Main lines, low angle first (2θ = 10–90°):
d (Å)  I/Imax
3.455  45
2.735  65
2.585  89
2.334  100
2.239  74
2.149  42
2.147  85
1.929  55


(3)
Theoretical X-ray diffraction stick pattern
Compound: KNdHfTiO6
Radiation: Cu Kα, 1.54184 Å
Structure: a cell relaxed with GGA-PBE
No peak broadening, texture or thermal motion is included.

Atomic structure:
a = 5.684 Å, b = 5.684 Å, c = 5.684 Å
α = 60.00°, β = 60.00°, γ = 60.00°
Sites, in units of the cell vectors:
K  0.000  0.000  0.000
Nd  0.500  0.500  0.500
Hf  0.250  0.250  0.250
Ti  0.750  0.750  0.750
O  0.506  0.506  0.994
O  0.506  0.994  0.506
O  0.506  0.994  0.994
O  0.994  0.506  0.506
O  0.994  0.506  0.994
O  0.994  0.994  0.506

Main lines, low angle first (2θ = 10–90°):
d (Å)  I/Imax
4.641  40
2.842  100
2.424  25
2.010  33
1.844  12
1.641  39
1.421  19
1.271  17


(4)
Theoretical X-ray diffraction stick pattern
Compound: Cs2InHgCl6
Radiation: Cu Kα, 1.54184 Å
Structure: a cell relaxed with GGA-PBE
No peak broadening, texture or thermal motion is included.

Atomic structure:
a = 7.721 Å, b = 7.721 Å, c = 7.721 Å
α = 60.00°, β = 60.00°, γ = 60.00°
Sites, in units of the cell vectors:
Cs  0.250  0.250  0.250
Cs  0.750  0.750  0.750
In  0.000  0.000  0.000
Hg  0.500  0.500  0.500
Cl  0.237  0.237  0.763
Cl  0.237  0.763  0.237
Cl  0.237  0.763  0.763
Cl  0.763  0.237  0.237
Cl  0.763  0.237  0.763
Cl  0.763  0.763  0.237

Main lines, low angle first (2θ = 10–90°):
d (Å)  I/Imax
3.860  100
2.730  50
2.229  46
1.930  35
1.726  22
1.459  25
1.287  12
1.221  15


(5)
Theoretical X-ray diffraction stick pattern
Compound: Ho2CuB8O16
Radiation: Cu Kα, 1.54184 Å
Structure: a cell relaxed with GGA-PBE
No peak broadening, texture or thermal motion is included.

Atomic structure:
a = 6.229 Å, b = 8.499 Å, c = 10.248 Å
α = 90.00°, β = 90.00°, γ = 90.00°
Sites, in units of the cell vectors:
Ho  0.000  0.000  0.182
Ho  0.000  0.000  0.818
Ho  0.500  0.500  0.182
Ho  0.500  0.500  0.818
Cu  0.000  0.000  0.500
Cu  0.500  0.500  0.500
B  0.000  0.500  0.194
B  0.000  0.500  0.806
B  0.114  0.317  0.000
B  0.119  0.693  0.377
B  0.119  0.693  0.623
B  0.381  0.193  0.377
B  0.381  0.193  0.623
B  0.386  0.817  0.000
B  0.500  0.000  0.194
B  0.500  0.000  0.806
B  0.614  0.183  0.000
B  0.619  0.807  0.377
B  0.619  0.807  0.623
B  0.881  0.307  0.377
B  0.881  0.307  0.623
B  0.886  0.683  0.000
O  0.062  0.163  0.000
O  0.063  0.845  0.359
O  0.063  0.845  0.641
O  0.149  0.401  0.116
O  0.149  0.401  0.884
O  0.149  0.627  0.500
O  0.153  0.594  0.270
O  0.153  0.594  0.730
O  0.347  0.094  0.270
O  0.347  0.094  0.730
O  0.351  0.127  0.500
O  0.351  0.901  0.116
O  0.351  0.901  0.884
O  0.437  0.345  0.359
O  0.437  0.345  0.641
O  0.438  0.663  0.000
O  0.562  0.337  0.000
O  0.563  0.655  0.359
O  0.563  0.655  0.641
O  0.649  0.099  0.116
O  0.649  0.099  0.884
O  0.649  0.873  0.500
O  0.653  0.906  0.270
O  0.653  0.906  0.730
O  0.847  0.406  0.270
O  0.847  0.406  0.730
O  0.851  0.373  0.500
O  0.851  0.599  0.116
O  0.851  0.599  0.884
O  0.937  0.155  0.359
O  0.937  0.155  0.641
O  0.938  0.837  0.000

Main lines, low angle first (2θ = 10–90°):
d (Å)  I/Imax
5.024  100
4.250  45
3.115  28
2.825  43
2.662  44
2.058  35
2.024  31
2.017  24


(6)
Theoretical X-ray diffraction stick pattern
Compound: CeNdHg2
Radiation: Cu Kα, 1.54184 Å
Structure: a cell relaxed with GGA-PBE
No peak broadening, texture or thermal motion is included.

Atomic structure:
a = 5.368 Å, b = 5.368 Å, c = 5.368 Å
α = 60.00°, β = 60.00°, γ = 60.00°
Sites, in units of the cell vectors:
Ce  0.000  0.000  0.000
Nd  0.500  0.500  0.500
Hg  0.250  0.250  0.250
Hg  0.750  0.750  0.750

Main lines, low angle first (2θ = 10–90°):
d (Å)  I/Imax
3.796  3
2.684  100
1.898  18
1.698  2
1.550  38
1.342  12
1.200  17
1.096  4


(7)
Theoretical X-ray diffraction stick pattern
Compound: Mg14TiCO16
Radiation: Cu Kα, 1.54184 Å
Structure: a cell relaxed with GGA-PBE
No peak broadening, texture or thermal motion is included.

Atomic structure:
a = 4.235 Å, b = 8.475 Å, c = 8.765 Å
α = 90.00°, β = 90.00°, γ = 90.00°
Sites, in units of the cell vectors:
Mg  0.000  0.000  0.000
Mg  0.000  0.000  0.500
Mg  0.000  0.252  0.242
Mg  0.000  0.252  0.758
Mg  0.000  0.748  0.242
Mg  0.000  0.748  0.758
Mg  0.500  0.000  0.247
Mg  0.500  0.000  0.753
Mg  0.500  0.248  0.500
Mg  0.500  0.255  0.000
Mg  0.500  0.500  0.236
Mg  0.500  0.500  0.764
Mg  0.500  0.745  0.000
Mg  0.500  0.752  0.500
Ti  0.000  0.500  0.500
C  0.000  0.500  0.000
O  0.000  0.000  0.252
O  0.000  0.000  0.748
O  0.000  0.241  0.000
O  0.000  0.250  0.500
O  0.000  0.500  0.283
O  0.000  0.500  0.717
O  0.000  0.750  0.500
O  0.000  0.759  0.000
O  0.500  0.000  0.000
O  0.500  0.000  0.500
O  0.500  0.252  0.249
O  0.500  0.252  0.751
O  0.500  0.500  0.000
O  0.500  0.500  0.500
O  0.500  0.748  0.249
O  0.500  0.748  0.751

Main lines, low angle first (2θ = 10–90°):
d (Å)  I/Imax
6.093  5
2.473  17
2.191  54
2.118  100
1.523  57
1.498  28
1.281  7
1.236  25